For Nb6Al11Ir, a crystal structure in the Materials Project, relaxed with GGA-PBE gives the theoretical X-ray powder pattern in this record (Cu Ka).
Neutral-atom scattering factors, no anomalous dispersion.

Atomic structure:
a = 8.9547 Å, b = 8.9547 Å, c = 8.2250 Å
α = 90.00°, β = 90.00°, γ = 120.00°
Space group P6_3/mcm (No. 193)
Unique sites:
Nb1 0.0000 0.3399 0.0625 (multiplicity 12)
Al1 0.0000 0.1660 0.7500 (multiplicity 6)
Al2 0.1608 0.4909 0.7500 (multiplicity 12)
Al3 0.3333 0.6667 0.0000 (multiplicity 4)
Ir1 0.0000 0.0000 0.0000 (multiplicity 2)

The 6 most intense peaks (10 to 80 degrees two-theta), in order of rising 2θ:
index	2θ (°)	I_rel
1 0 0	11.41	46
0 0 2	21.61	28
3 0 0	34.70	83
1 1 3	38.50	66
3 0 2	41.25	100
2 2 1	41.82	29

For CaNd3, a crystal structure in the Materials Project, relaxed with GGA-PBE gives the theoretical X-ray powder pattern in this record (Cu Ka).
Neutral-atom scattering factors, no anomalous dispersion.

Atomic structure:
a = 7.4835 Å, b = 7.4835 Å, c = 6.0119 Å
α = 90.00°, β = 90.00°, γ = 120.00°
Space group P6_3/mmc (No. 194)
Unique sites:
Ca1 0.3333 0.6667 0.2500 (multiplicity 2)
Nd1 0.1641 0.3281 0.7500 (multiplicity 6)

The 6 most intense peaks (10 to 80 degrees two-theta), in order of rising 2θ:
index	2θ (°)	I_rel
2 0 0	27.53	23
0 0 2	29.72	26
2 0 1	31.36	100
2 2 0	48.67	19
2 0 3	53.79	22
2 2 2	58.07	23

For SbCCl4O2, a crystal structure in the Materials Project, relaxed with GGA-PBE gives the theoretical X-ray powder pattern in this record (Cu Ka).
Neutral-atom scattering factors, no anomalous dispersion.

Atomic structure:
a = 7.1247 Å, b = 7.4333 Å, c = 16.6828 Å
α = 80.05°, β = 84.22°, γ = 82.96°
Space group P-1 (No. 2)
Unique sites:
Sb1 0.1632 0.2294 0.1250 (multiplicity 2)
Sb2 0.2824 0.2563 0.6137 (multiplicity 2)
C1 0.0572 0.4499 0.9669 (multiplicity 2)
C2 0.4149 0.5755 0.4993 (multiplicity 2)
Cl1 0.0294 0.6958 0.3294 (multiplicity 2)
Cl2 0.1043 0.9182 0.8873 (multiplicity 2)
Cl3 0.1104 0.2146 0.2659 (multiplicity 2)
Cl4 0.1895 0.1740 0.4945 (multiplicity 2)
Cl5 0.3759 0.9699 0.1107 (multiplicity 2)
Cl6 0.3799 0.9546 0.6708 (multiplicity 2)
Cl7 0.4043 0.4262 0.1139 (multiplicity 2)
Cl8 0.4089 0.3867 0.7131 (multiplicity 2)
O1 0.0334 0.5158 0.8930 (multiplicity 2)
O2 0.1678 0.3082 0.9907 (multiplicity 2)
O3 0.2658 0.5378 0.5439 (multiplicity 2)
O4 0.4356 0.7276 0.4536 (multiplicity 2)

The 6 most intense peaks (10 to 80 degrees two-theta), in order of rising 2θ:
index	2θ (°)	I_rel
0 1 2	14.91	100
1 0 2	15.91	59
1 1 0	16.53	54
1 0 -2	17.26	47
0 1 -2	17.57	51
1 -1 0	18.44	50

For Ag2Hg7P8Br6, a crystal structure in the Materials Project, relaxed with GGA-PBE gives the theoretical X-ray powder pattern in this record (Cu Ka).
Neutral-atom scattering factors, no anomalous dispersion.

Atomic structure:
a = 13.1193 Å, b = 11.1110 Å, c = 8.2772 Å
α = 90.00°, β = 101.47°, γ = 90.00°
Space group C2/m (No. 12)
Unique sites:
Ag1 0.2500 0.2500 0.0000 (multiplicity 4)
Hg1 0.0000 0.0000 0.5000 (multiplicity 2)
Hg2 0.0499 0.3171 0.2647 (multiplicity 8)
Hg3 0.2264 0.5000 0.6333 (multiplicity 4)
P1 0.0626 0.5000 0.4322 (multiplicity 4)
P2 0.0808 0.1566 0.0752 (multiplicity 8)
P3 0.0866 0.0000 0.2441 (multiplicity 4)
Br1 0.1453 0.5000 0.9570 (multiplicity 4)
Br2 0.1560 0.2059 0.6468 (multiplicity 8)

The 6 most intense peaks (10 to 80 degrees two-theta), in order of rising 2θ:
index	2θ (°)	I_rel
4 0 -1	27.75	35
1 3 1	27.93	54
3 1 -2	28.28	81
4 0 1	31.93	100
4 2 -1	32.18	85
1 3 -2	32.57	99

For Rb4SnTe4O2, a crystal structure in the Materials Project, relaxed with GGA-PBE gives the theoretical X-ray powder pattern in this record (Cu Ka).
Neutral-atom scattering factors, no anomalous dispersion.

Atomic structure:
a = 18.7371 Å, b = 7.6339 Å, c = 15.2648 Å
α = 90.00°, β = 126.70°, γ = 90.00°
Space group C2/c (No. 15)
Unique sites:
Rb1 0.0871 0.2060 0.0045 (multiplicity 8)
Rb2 0.2062 0.3901 0.3226 (multiplicity 8)
Sn1 0.0000 0.1255 0.2500 (multiplicity 4)
Te1 0.0706 0.3139 0.4393 (multiplicity 8)
Te2 0.1365 0.0912 0.7736 (multiplicity 8)
O1 0.1842 0.0681 0.2210 (multiplicity 8)

The 6 most intense peaks (10 to 80 degrees two-theta), in order of rising 2θ:
index	2θ (°)	I_rel
1 1 0	13.03	95
2 0 2	23.62	73
4 0 -4	24.16	92
2 2 1	29.08	85
6 0 -2	29.38	85
4 2 -3	31.19	100

For Mo3I, a crystal structure in the Materials Project, relaxed with GGA-PBE gives the theoretical X-ray powder pattern in this record (Cu Ka).
Neutral-atom scattering factors, no anomalous dispersion.

Atomic structure:
a = 6.5302 Å, b = 6.5302 Å, c = 6.5302 Å
α = 90.00°, β = 90.00°, γ = 90.00°
Space group Fm-3m (No. 225)
Unique sites:
Mo1 0.0000 0.0000 0.0000 (multiplicity 4)
Mo2 0.2500 0.2500 0.2500 (multiplicity 8)
I1 0.0000 0.0000 0.5000 (multiplicity 4)

The 6 most intense peaks (10 to 80 degrees two-theta), in order of rising 2θ:
index	2θ (°)	I_rel
1 1 1	23.60	1
2 0 0	27.31	1
2 2 0	39.01	100
3 1 1	46.10	1
4 0 0	56.36	17
4 2 2	70.67	34

For Ca2Pb, a crystal structure in the Materials Project, relaxed with GGA-PBE gives the theoretical X-ray powder pattern in this record (Cu Ka).
Neutral-atom scattering factors, no anomalous dispersion.

Atomic structure:
a = 7.6388 Å, b = 7.6388 Å, c = 7.6388 Å
α = 90.00°, β = 90.00°, γ = 90.00°
Space group Fm-3m (No. 225)
Unique sites:
Ca1 0.2500 0.2500 0.2500 (multiplicity 8)
Pb1 0.0000 0.0000 0.0000 (multiplicity 4)

The 6 most intense peaks (10 to 80 degrees two-theta), in order of rising 2θ:
index	2θ (°)	I_rel
1 1 1	20.13	100
2 2 0	33.17	89
3 1 1	39.11	58
3 3 1	52.20	25
4 2 2	59.26	33
5 1 1	63.26	19